(1)
Diffraction record for Tl2CdGaSe4. The powder X-ray diffraction pattern is calculated, not measured: it uses the GGA-PBE geometry in Alexandria and CuKα.
Neutral-atom scattering factors, no anomalous dispersion.

Structure:
```
data_Tl2CdGaSe4
_cell_length_a 9.053
_cell_length_b 9.541
_cell_length_c 7.029
_cell_angle_alpha 90.00
_cell_angle_beta 128.98
_cell_angle_gamma 90.00
_space_group_name_H-M_alt 'C 1 2 1'
_space_group_IT_number 5
_space_group_name_Hall 'C 2y'
loop_
_atom_site_label
_atom_site_type_symbol
_atom_site_fract_x
_atom_site_fract_y
_atom_site_fract_z
Tl1 Tl 0.000 0.000 0.000
Tl2 Tl 0.000 0.270 0.500
Cd1 Cd 0.000 0.461 0.000
Ga1 Ga 0.000 0.700 0.500
Se1 Se 0.204 0.561 0.459
Se2 Se 0.215 0.802 0.914
```

Most intense lines, 2θ from 10° to 80°, in order of rising 2θ:
2θ/deg  d (Å)  I/Imax  index
24.8  3.593  32  0 2 1
27.2  3.283  100  2 2 -1
27.8  3.204  13  1 1 1
28.2  3.167  11  1 1 -2
32.8  2.732  31  0 0 2
39.8  2.263  21  4 0 -2
42.8  2.114  24  2 2 1
43.4  2.086  23  2 2 -3
46.0  1.974  11  2 4 0
46.3  1.963  11  2 4 -2

***

(2)
Diffraction record for MnSiPb. The powder X-ray diffraction pattern is calculated, not measured: it uses the GGA-PBE geometry in Alexandria and CuKα.
Neutral-atom scattering factors, no anomalous dispersion.

Structure:
```
data_MnSiPb
_cell_length_a 4.1506
_cell_length_b 4.1506
_cell_length_c 4.1364
_cell_angle_alpha 90.00
_cell_angle_beta 90.00
_cell_angle_gamma 120.00
_space_group_name_H-M_alt 'P -6 m 2'
_space_group_IT_number 187
_space_group_name_Hall 'P -6 2'
loop_
_atom_site_label
_atom_site_type_symbol
_atom_site_fract_x
_atom_site_fract_y
_atom_site_fract_z
Mn1 Mn 0.0000 0.0000 0.0000
Si1 Si 0.3333 0.6667 0.0000
Pb1 Pb 0.6667 0.3333 0.5000
```

Most intense lines, 2θ from 10° to 80°, in order of rising 2θ:
2θ/deg  d (Å)  I/Imax  index
21.5  4.136  10  0 0 1
24.8  3.595  44  1 0 0
33.0  2.713  100  1 0 1
43.6  2.075  31  1 1 0
43.8  2.068  10  0 0 2
50.9  1.793  14  1 0 2
55.8  1.648  23  2 0 1
63.5  1.465  21  1 1 2
73.3  1.291  20  2 1 1
73.6  1.287  10  1 0 3

***

(3)
Diffraction record for PrTmMg5. The powder X-ray diffraction pattern is calculated, not measured: it uses the GGA-PBE geometry in Alexandria and CuKα.
Neutral-atom scattering factors, no anomalous dispersion.

Structure:
```
data_PrTmMg5
_cell_length_a 6.279
_cell_length_b 9.722
_cell_length_c 6.792
_cell_angle_alpha 90.00
_cell_angle_beta 110.26
_cell_angle_gamma 90.00
_space_group_name_H-M_alt 'C 1 2/m 1'
_space_group_IT_number 12
_space_group_name_Hall '-C 2y'
loop_
_atom_site_label
_atom_site_type_symbol
_atom_site_fract_x
_atom_site_fract_y
_atom_site_fract_z
Pr1 Pr 0.000 0.000 0.000
Tm1 Tm 0.000 0.500 0.500
Mg1 Mg 0.000 0.000 0.500
Mg2 Mg 0.200 0.289 0.232
```

Most intense lines, 2θ from 10° to 80°, in order of rising 2θ:
2θ/deg  d (Å)  I/Imax  index
18.3  4.861  48  0 2 0
18.9  4.684  100  1 1 -1
25.6  3.482  69  1 1 1
32.3  2.771  50  1 3 -1
33.5  2.673  34  2 0 -2
33.6  2.665  65  0 2 2
35.6  2.519  52  2 2 0
37.0  2.430  22  0 4 0
40.9  2.205  20  1 1 -3
50.8  1.798  17  2 4 -2

***

(4)
Diffraction record for Be3NiAu2. The powder X-ray diffraction pattern is calculated, not measured: it uses the GGA-PBE geometry in Alexandria and CuKα.
Neutral-atom scattering factors, no anomalous dispersion.

Structure:
```
data_Be3NiAu2
_cell_length_a 2.865
_cell_length_b 2.865
_cell_length_c 8.589
_cell_angle_alpha 90.00
_cell_angle_beta 90.00
_cell_angle_gamma 90.00
_space_group_name_H-M_alt 'P 4/m m m'
_space_group_IT_number 123
_space_group_name_Hall '-P 4 2'
loop_
_atom_site_label
_atom_site_type_symbol
_atom_site_fract_x
_atom_site_fract_y
_atom_site_fract_z
Be1 Be 0.000 0.000 0.000
Be2 Be 0.000 0.000 0.368
Ni1 Ni 0.500 0.500 0.500
Au1 Au 0.500 0.500 0.180
```

Most intense lines, 2θ from 10° to 80°, in order of rising 2θ:
2θ/deg  d (Å)  I/Imax  index
10.3  8.589  19  0 0 1
20.7  4.294  15  0 0 2
31.2  2.864  100  1 0 0
33.0  2.717  7  1 0 1
37.7  2.383  16  1 0 2
44.7  2.025  86  1 1 0
49.8  1.832  7  1 1 2
55.6  1.654  26  1 1 3
65.1  1.432  13  2 0 0
74.0  1.281  32  2 1 0

***

(5)
Diffraction record for Li5Sb2Pd12. The powder X-ray diffraction pattern is calculated, not measured: it uses the GGA-PBE geometry in Alexandria and CuKα.
Neutral-atom scattering factors, no anomalous dispersion.

Structure:
```
data_Li5Sb2Pd12
_cell_length_a 12.743
_cell_length_b 8.318
_cell_length_c 5.695
_cell_angle_alpha 90.00
_cell_angle_beta 95.13
_cell_angle_gamma 90.00
_space_group_name_H-M_alt 'C 1 2/m 1'
_space_group_IT_number 12
_space_group_name_Hall '-C 2y'
loop_
_atom_site_label
_atom_site_type_symbol
_atom_site_fract_x
_atom_site_fract_y
_atom_site_fract_z
Li1 Li 0.000 0.000 0.000
Li2 Li 0.164 0.500 0.404
Li3 Li 0.236 0.000 0.998
Sb1 Sb 0.000 0.232 0.500
Pd1 Pd 0.046 0.500 0.774
Pd2 Pd 0.101 0.268 0.108
Pd3 Pd 0.140 0.000 0.403
Pd4 Pd 0.198 0.260 0.703
```

Most intense lines, 2θ from 10° to 80°, in order of rising 2θ:
2θ/deg  d (Å)  I/Imax  index
20.7  4.294  29  1 1 1
21.4  4.159  44  0 2 0
40.0  2.253  100  2 2 -2
40.1  2.246  100  4 2 1
43.5  2.079  37  0 4 0
44.3  2.043  38  6 0 -1
51.7  1.769  23  2 0 3
63.9  1.457  22  6 4 -1
69.8  1.347  17  2 4 3
77.6  1.231  22  4 6 1

***

(6)
Diffraction record for CeP4Pd12. The powder X-ray diffraction pattern is calculated, not measured: it uses the GGA-PBE geometry in Alexandria and CuKα.
Neutral-atom scattering factors, no anomalous dispersion.

Structure:
```
data_CeP4Pd12
_cell_length_a 8.371
_cell_length_b 8.371
_cell_length_c 8.371
_cell_angle_alpha 90.00
_cell_angle_beta 90.00
_cell_angle_gamma 90.00
_space_group_name_H-M_alt 'I m -3'
_space_group_IT_number 204
_space_group_name_Hall '-I 2 2 3'
loop_
_atom_site_label
_atom_site_type_symbol
_atom_site_fract_x
_atom_site_fract_y
_atom_site_fract_z
Ce1 Ce 0.000 0.000 0.000
P1 P 0.250 0.250 0.250
Pd1 Pd 0.000 0.337 0.172
```

Most intense lines, 2θ from 10° to 80°, in order of rising 2θ:
2θ/deg  d (Å)  I/Imax  index
33.9  2.647  100  3 0 1
40.3  2.237  50  3 1 2
48.6  1.872  6  4 0 2
51.2  1.785  6  3 3 2
53.6  1.709  16  4 2 2
56.0  1.642  20  4 3 1
65.0  1.436  15  5 3 0
67.1  1.395  13  6 0 0
69.2  1.358  11  5 2 3
77.3  1.234  17  6 1 3

***

(7)
Diffraction record for HfCd2BiO6. The powder X-ray diffraction pattern is calculated, not measured: it uses the GGA-PBE geometry in Alexandria and CuKα.
Neutral-atom scattering factors, no anomalous dispersion.

Structure:
```
data_HfCd2BiO6
_cell_length_a 5.7230
_cell_length_b 5.7230
_cell_length_c 14.9362
_cell_angle_alpha 90.00
_cell_angle_beta 90.00
_cell_angle_gamma 120.00
_space_group_name_H-M_alt 'R 3'
_space_group_IT_number 146
_space_group_name_Hall 'R 3'
loop_
_atom_site_label
_atom_site_type_symbol
_atom_site_fract_x
_atom_site_fract_y
_atom_site_fract_z
Hf1 Hf 0.0000 0.0000 0.0000
Cd1 Cd 0.0000 0.0000 0.2210
Cd2 Cd 0.0000 0.0000 0.7215
Bi1 Bi 0.0000 0.0000 0.4991
O1 O 0.0011 0.6209 0.2645
O2 O 0.0273 0.2989 0.0927
```

Most intense lines, 2θ from 10° to 80°, in order of rising 2θ:
2θ/deg  d (Å)  I/Imax  index
21.5  4.130  29  0 1 2
30.0  2.982  100  1 0 4
31.3  2.861  91  1 1 0
43.8  2.065  42  0 2 4
48.5  1.878  24  2 -1 6
52.4  1.747  15  0 1 8
54.8  1.674  39  3 -1 4
55.6  1.652  25  3 0 0
65.2  1.430  21  2 2 0
73.4  1.290  15  1 3 4

***

(8)
Diffraction record for HgOsW2. The powder X-ray diffraction pattern is calculated, not measured: it uses the GGA-PBE geometry in Alexandria and CuKα.
Neutral-atom scattering factors, no anomalous dispersion.

Structure:
```
data_HgOsW2
_cell_length_a 2.844
_cell_length_b 4.079
_cell_length_c 5.725
_cell_angle_alpha 90.00
_cell_angle_beta 90.00
_cell_angle_gamma 90.00
_space_group_name_H-M_alt 'P m m m'
_space_group_IT_number 47
_space_group_name_Hall '-P 2 2'
loop_
_atom_site_label
_atom_site_type_symbol
_atom_site_fract_x
_atom_site_fract_y
_atom_site_fract_z
Hg1 Hg 0.000 0.000 0.000
Os1 Os 0.000 0.000 0.500
W1 W 0.500 0.500 0.279
```

Most intense lines, 2θ from 10° to 80°, in order of rising 2θ:
2θ/deg  d (Å)  I/Imax  index
38.4  2.343  95  0 1 2
38.6  2.333  100  1 1 0
44.4  2.039  34  0 2 0
44.9  2.018  62  1 0 2
65.0  1.434  41  1 2 2
65.7  1.422  11  2 0 0
77.8  1.228  13  0 3 2
77.9  1.227  13  1 3 0
78.4  1.220  20  1 1 4
78.7  1.216  24  2 1 2

***

(9)
Diffraction record for TeHRuN2. The powder X-ray diffraction pattern is calculated, not measured: it uses the GGA-PBE geometry in Alexandria and CuKα.
Neutral-atom scattering factors, no anomalous dispersion.

Structure:
```
data_TeHRuN2
_cell_length_a 3.723
_cell_length_b 3.723
_cell_length_c 5.738
_cell_angle_alpha 90.00
_cell_angle_beta 90.00
_cell_angle_gamma 90.00
_space_group_name_H-M_alt 'P 4/m m m'
_space_group_IT_number 123
_space_group_name_Hall '-P 4 2'
loop_
_atom_site_label
_atom_site_type_symbol
_atom_site_fract_x
_atom_site_fract_y
_atom_site_fract_z
Te1 Te 0.000 0.000 0.000
H1 H 0.500 0.500 0.000
Ru1 Ru 0.000 0.000 0.500
N1 N 0.000 0.500 0.500
```

Most intense lines, 2θ from 10° to 80°, in order of rising 2θ:
2θ/deg  d (Å)  I/Imax  index
23.9  3.723  100  1 0 0
31.2  2.869  33  0 0 2
34.1  2.632  32  1 1 0
39.7  2.272  52  1 0 2
46.8  1.940  26  1 1 2
48.9  1.861  18  2 0 0
55.2  1.665  20  2 1 0
59.2  1.562  19  2 0 2
64.7  1.440  24  2 1 2
70.3  1.339  9  1 0 4

***

(10)
Diffraction record for Hf5In4Ga. The powder X-ray diffraction pattern is calculated, not measured: it uses the GGA-PBE geometry in Alexandria and CuKα.
Neutral-atom scattering factors, no anomalous dispersion.

Structure:
```
data_Hf5In4Ga
_cell_length_a 9.505
_cell_length_b 9.877
_cell_length_c 5.015
_cell_angle_alpha 90.00
_cell_angle_beta 90.00
_cell_angle_gamma 90.00
_space_group_name_H-M_alt 'I m m 2'
_space_group_IT_number 44
_space_group_name_Hall 'I 2 -2'
loop_
_atom_site_label
_atom_site_type_symbol
_atom_site_fract_x
_atom_site_fract_y
_atom_site_fract_z
Hf1 Hf 0.000 0.000 0.000
Hf2 Hf 0.178 0.193 0.630
In1 In 0.000 0.306 0.139
In2 In 0.191 0.500 0.649
Ga1 Ga 0.000 0.000 0.498
```

Most intense lines, 2θ from 10° to 80°, in order of rising 2θ:
2θ/deg  d (Å)  I/Imax  index
12.9  6.849  24  1 1 0
32.5  2.752  94  0 3 1
33.5  2.679  100  3 0 1
35.8  2.508  39  0 0 2
38.2  2.355  25  3 2 1
39.5  2.283  71  3 3 0
40.3  2.236  12  0 2 2
54.3  1.688  35  3 3 2
62.8  1.479  12  3 0 3
68.3  1.373  17  6 3 1

***

(11)
Diffraction record for K8Rb6Ba. The powder X-ray diffraction pattern is calculated, not measured: it uses the GGA-PBE geometry in Alexandria and CuKα.
Neutral-atom scattering factors, no anomalous dispersion.

Structure:
```
data_K8Rb6Ba
_cell_length_a 13.3568
_cell_length_b 13.3568
_cell_length_c 7.8402
_cell_angle_alpha 90.00
_cell_angle_beta 90.00
_cell_angle_gamma 120.00
_space_group_name_H-M_alt 'P 6/m'
_space_group_IT_number 175
_space_group_name_Hall '-P 6'
loop_
_atom_site_label
_atom_site_type_symbol
_atom_site_fract_x
_atom_site_fract_y
_atom_site_fract_z
K1 K 0.0290 0.3263 0.0000
K2 K 0.3333 0.6667 0.0000
Rb1 Rb 0.1461 0.7126 0.5000
Ba1 Ba 0.0000 0.0000 0.5000
```

Most intense lines, 2θ from 10° to 80°, in order of rising 2θ:
2θ/deg  d (Å)  I/Imax  index
11.3  7.840  14  0 0 1
20.3  4.372  37  2 1 0
22.7  3.920  31  0 0 2
23.3  3.818  100  2 1 1
30.6  2.919  27  2 1 2
37.4  2.403  22  1 4 1
40.2  2.243  23  2 1 3
42.6  2.122  14  1 4 2
47.6  1.909  14  4 2 2
56.9  1.617  15  3 5 1